Starting from a crystal structure in Alexandria, relaxed with GGA-PBE, the X-ray diffraction stick pattern of Er2Zn12Ag5 was calculated for Cu Kα, 1.54184 Å.

Main lines, sorted by position (10° ≤ 2θ ≤ 90°):
- d = 3.198 Å, rel. 25
- d = 3.080 Å, rel. 19
- d = 2.653 Å, rel. 47
- d = 2.559 Å, rel. 20
- d = 2.298 Å, rel. 81
- d = 2.279 Å, rel. 100
- d = 2.235 Å, rel. 29
- d = 2.227 Å, rel. 34
- d = 2.219 Å, rel. 26
- d = 2.042 Å, rel. 44
- d = 1.327 Å, rel. 26
- d = 1.296 Å, rel. 24

```
19
Lattice="4.5956 2.6532 4.4538 -4.5956 2.6532 4.4538 0.0000 -5.3065 4.4538" Properties=species:S:1:pos:R:3 pbc="T T T"
Er 0.0000 0.0000 2.1141
Er 0.0000 0.0000 11.2473
Zn 0.0000 -2.7763 4.2898
Zn -2.4044 1.3882 4.2898
Zn -1.4050 -2.4335 6.6807
Zn -2.8100 0.0000 6.6807
Zn -2.4044 -1.3882 9.0716
Zn 1.4050 -2.4335 6.6807
Zn -1.4050 2.4335 6.6807
Zn 2.4044 1.3882 4.2898
Zn 2.8100 0.0000 6.6807
Zn 1.4050 2.4335 6.6807
Zn 2.4044 -1.3882 9.0716
Zn 0.0000 2.7763 9.0716
Ag -2.2978 -1.3266 4.4538
Ag 0.0000 0.0000 5.2889
Ag -2.2978 1.3266 8.9076
Ag 0.0000 2.6532 4.4538
Ag 0.0000 0.0000 8.0725
```